Diffraction record for TbCu2Te3. The XRD peak list is computed, not measured: it uses a GGA-PBE-relaxed structure and Cu Kα (λ = 1.5418 Å).
Lines closer than 0.1° are merged.

Cell lengths 7.4767, 4.1499, 11.2731 Å; angles 90.00, 102.60, 90.00 degrees
Space group P2_1/m (No. 11)
Inequivalent atoms, fractional coordinates:
Tb 0.2410 0.2500 0.1919 x2
Cu 0.0436 0.2500 0.9207 x2
Cu 0.4245 0.7500 0.4130 x2
Te 0.0600 0.7500 0.3196 x2
Te 0.2604 0.7500 0.9810 x2
Te 0.3878 0.7500 0.6394 x2

Main lines, by angle (5° ≤ 2θ ≤ 70°):
2theta	I_rel	index
13.0	100	1 0 -1
25.1	37	1 1 -1
27.4	39	2 0 1
28.1	43	1 1 -2
32.9	45	1 1 -3
36.8	46	1 1 3
43.1	69	2 0 -5
43.6	39	0 2 0



Diffraction record for TbTl2Cu2Te4. The XRD peak list is computed, not measured: it uses a GGA-PBE-relaxed structure and Cu Kα (λ = 1.5418 Å).
Lines closer than 0.1° are merged.

Cell lengths 15.6979, 4.2043, 8.5839 Å; angles 90.00, 108.74, 90.00 degrees
Space group C2/m (No. 12)
Inequivalent atoms, fractional coordinates:
Tb 0.0000 0.0000 0.0000 x2
Tl 0.1308 0.0000 0.5519 x4
Cu 0.1852 0.5000 0.9925 x4
Te 0.0256 0.5000 0.7578 x4
Te 0.2049 0.0000 0.1887 x4

Main lines, by angle (5° ≤ 2θ ≤ 70°):
2theta	I_rel	index
26.8	34	4 0 -2
27.8	29	3 1 0
29.5	55	4 0 1
29.8	100	1 1 -2
32.1	42	3 1 1
35.7	34	5 1 -1
43.0	34	0 2 0
48.3	30	3 1 3



Diffraction record for Tb3Tl2Cu. The XRD peak list is computed, not measured: it uses a GGA-PBE-relaxed structure and Cu Kα (λ = 1.5418 Å).
Lines closer than 0.1° are merged.

Cell lengths 15.2661, 6.3520, 6.6246 Å; angles 90.00, 103.33, 90.00 degrees
Space group C2/c (No. 15)
Inequivalent atoms, fractional coordinates:
Tb 0.0000 0.1389 0.2500 x4
Tb 0.1578 0.4014 0.5938 x8
Tl 0.1651 0.1078 0.0454 x8
Cu 0.0000 0.3620 0.7500 x4

Main lines, by angle (5° ≤ 2θ ≤ 70°):
2theta	I_rel	index
31.4	60	0 2 1
32.3	87	4 0 -2
32.5	44	2 2 -1
32.7	100	2 0 2
34.9	79	2 2 1
36.3	70	6 0 0
37.8	44	4 2 -1
46.1	30	6 2 -1